[1]
The following is a computed powder X-ray diffraction pattern of Ag. It was derived from a crystal structure in Alexandria, relaxed with GGA-PBE, using Cu Kα (λ = 1.5418 Å).

Structure:
Cell: 2.9498 2.9498 9.5389 Å, 90.00 90.00 120.00°
Space group P6_3/mmc (No. 194)
Asymmetric unit:
Ag 0.0000 0.0000 0.0000
Ag 0.3333 0.6667 0.2500

Largest 6 diffraction maxima, by angle, 2θ from 10° to 90°:
2θ (°)	Rel. int.	hkl
36.41	44	1 0 1
37.72	35	0 0 4
40.04	100	1 0 2
45.55	23	1 0 3
63.03	22	1 1 0
75.84	25	1 1 4


[2]
The following is a computed powder X-ray diffraction pattern of AcLa2PrSe4. It was derived from a crystal structure in Alexandria, relaxed with GGA-PBE, using Cu Kα (λ = 1.5418 Å).

Structure:
Cell: 7.530 4.321 7.539 Å, 90.00 109.28 90.00°
Space group P2/m (No. 10)
Asymmetric unit:
Ac 0.000 0.000 0.000
La 0.500 0.000 0.500
La 0.500 0.500 0.000
Pr 0.000 0.500 0.500
Se 0.252 0.000 0.746
Se 0.256 0.500 0.257

Largest 6 diffraction maxima, by angle, 2θ from 10° to 90°:
2θ (°)	Rel. int.	hkl
29.08	100	1 1 1
41.42	13	2 0 2
41.59	50	3 1 -1
51.39	14	4 0 0
51.72	13	2 2 -2
68.28	17	5 1 -3


[3]
The following is a computed powder X-ray diffraction pattern of La2Dy3Er3. It was derived from a crystal structure in Alexandria, relaxed with GGA-PBE, using Cu Kα (λ = 1.5418 Å).

Structure:
Cell: 3.588 17.628 16.755 Å, 90.00 90.00 90.00°
Space group Cmcm (No. 63)
Asymmetric unit:
La 0.000 0.222 0.151
Dy 0.000 0.358 0.013
Dy 0.000 0.394 0.250
Er 0.000 0.005 0.100
Er 0.000 0.421 0.750

Largest 6 diffraction maxima, by angle, 2θ from 10° to 90°:
2θ (°)	Rel. int.	hkl
29.16	33	1 3 0
29.42	99	0 4 4
33.27	100	1 1 4
33.66	44	0 2 6
35.71	58	1 5 0
55.40	34	1 7 6


[4]
The following is a computed powder X-ray diffraction pattern of Cs2HfBr5F. It was derived from a crystal structure in Alexandria, relaxed with GGA-PBE, using Cu Kα (λ = 1.5418 Å).

Structure:
Cell: 7.892 7.892 10.971 Å, 90.00 90.00 90.00°
Space group I4mm (No. 107)
Asymmetric unit:
Cs 0.000 0.500 0.000
Hf 0.000 0.000 0.252
Br 0.000 0.000 0.009
Br 0.237 0.237 0.250
F 0.000 0.000 0.428

Largest 6 diffraction maxima, by angle, 2θ from 10° to 90°:
2θ (°)	Rel. int.	hkl
13.82	100	1 0 1
22.73	74	1 1 2
27.85	98	2 0 2
32.08	97	2 2 0
32.65	44	0 0 4
46.42	64	2 2 4


[5]
The following is a computed powder X-ray diffraction pattern of BeAsAu. It was derived from a crystal structure in Alexandria, relaxed with GGA-PBE, using Cu Kα (λ = 1.5418 Å).

Structure:
Cell: 3.886 7.084 7.674 Å, 90.00 90.00 90.00°
Space group Cmc2_1 (No. 36)
Asymmetric unit:
Be 0.000 0.202 0.000
As 0.000 0.106 0.588
Au 0.000 0.296 0.306

Largest 6 diffraction maxima, by angle, 2θ from 10° to 90°:
2θ (°)	Rel. int.	hkl
25.14	24	0 2 0
27.74	34	0 2 1
28.67	100	1 1 1
34.46	30	0 2 2
35.23	24	1 1 2
44.28	47	1 1 3


[6]
The following is a computed powder X-ray diffraction pattern of PaTi2Zn9. It was derived from a crystal structure in Alexandria, relaxed with GGA-PBE, using Cu Kα (λ = 1.5418 Å).

Structure:
Cell: 8.549 8.549 5.243 Å, 90.00 90.00 90.00°
Space group P4/mbm (No. 127)
Asymmetric unit:
Pa 0.000 0.000 0.000
Ti 0.120 0.380 0.000
Zn 0.000 0.500 0.500
Zn 0.065 0.206 0.500
Zn 0.177 0.677 0.229

Largest 6 diffraction maxima, by angle, 2θ from 10° to 90°:
2θ (°)	Rel. int.	hkl
22.45	22	1 1 1
34.23	44	0 0 2
37.42	100	3 1 1
40.36	37	2 0 2
41.79	52	2 1 2
43.65	28	4 1 0


[7]
The following is a computed powder X-ray diffraction pattern of Nd4TmAl. It was derived from a crystal structure in Alexandria, relaxed with GGA-PBE, using Cu Kα (λ = 1.5418 Å).

Structure:
Cell: 3.609 3.609 14.479 Å, 90.00 90.00 90.00°
Space group P4/mmm (No. 123)
Asymmetric unit:
Nd 0.000 0.000 0.137
Nd 0.500 0.500 0.325
Tm 0.000 0.000 0.500
Al 0.500 0.500 0.000

Largest 6 diffraction maxima, by angle, 2θ from 10° to 90°:
2θ (°)	Rel. int.	hkl
27.62	17	1 0 2
30.93	100	1 0 3
35.16	37	1 1 0
50.58	13	2 0 0
52.17	14	1 1 6
60.47	32	2 1 3


[8]
The following is a computed powder X-ray diffraction pattern of Zr6TcRh. It was derived from a crystal structure in Alexandria, relaxed with GGA-PBE, using Cu Kα (λ = 1.5418 Å).

Structure:
Cell: 4.678 4.678 14.949 Å, 90.00 90.00 90.00°
Space group I4/mmm (No. 139)
Asymmetric unit:
Zr 0.000 0.000 0.247
Zr 0.000 0.500 0.109
Tc 0.000 0.000 0.000
Rh 0.000 0.000 0.500

Largest 6 diffraction maxima, by angle, 2θ from 10° to 90°:
2θ (°)	Rel. int.	hkl
36.27	100	1 1 4
38.49	46	2 0 0
48.73	8	0 0 8
55.57	15	2 2 0
63.75	14	2 0 8
68.18	30	3 1 4


[9]
The following is a computed powder X-ray diffraction pattern of Cs3Hg2Cl3F4. It was derived from a crystal structure in Alexandria, relaxed with GGA-PBE, using Cu Kα (λ = 1.5418 Å).

Structure:
Cell: 5.283 25.951 4.778 Å, 90.00 90.00 90.00°
Space group Imm2 (No. 44)
Asymmetric unit:
Cs 0.000 0.000 0.000
Cs 0.000 0.193 0.000
Hg 0.000 0.393 0.001
Cl 0.000 0.099 0.500
Cl 0.000 0.500 0.000
F 0.000 0.304 0.002
F 0.000 0.387 0.501

Largest 6 diffraction maxima, by angle, 2θ from 10° to 90°:
2θ (°)	Rel. int.	hkl
24.04	85	1 5 0
25.13	100	1 0 1
25.34	92	0 5 1
33.94	39	2 0 0
42.82	47	2 5 1
43.21	41	1 10 1


[10]
The following is a computed powder X-ray diffraction pattern of Fe2NiBi2. It was derived from a crystal structure in Alexandria, relaxed with GGA-PBE, using Cu Kα (λ = 1.5418 Å).

Structure:
Cell: 6.649 6.649 3.845 Å, 90.00 90.00 90.00°
Space group P4/mbm (No. 127)
Asymmetric unit:
Fe 0.123 0.377 0.000
Ni 0.000 0.000 0.000
Bi 0.180 0.680 0.500

Largest 6 diffraction maxima, by angle, 2θ from 10° to 90°:
2θ (°)	Rel. int.	hkl
30.05	30	2 1 0
35.70	44	2 0 1
38.26	100	2 1 1
43.02	20	3 1 0
57.09	24	4 1 0
62.44	27	4 1 1


[11]
The following is a computed powder X-ray diffraction pattern of PuCu2IO8. It was derived from a crystal structure in Alexandria, relaxed with GGA-PBE, using Cu Kα (λ = 1.5418 Å).

Structure:
Cell: 6.518 6.518 6.980 Å, 90.00 90.00 90.00°
Space group I-4m2 (No. 119)
Asymmetric unit:
Pu 0.000 0.000 0.000
Cu 0.000 0.000 0.500
Cu 0.000 0.500 0.750
I 0.000 0.500 0.250
O 0.000 0.191 0.297
O 0.000 0.311 0.964

Largest 6 diffraction maxima, by angle, 2θ from 10° to 90°:
2θ (°)	Rel. int.	hkl
18.62	61	1 0 1
27.36	99	2 0 0
32.17	100	1 1 2
39.09	23	2 2 0
51.49	71	3 1 2
60.15	21	2 0 4